1.
Theoretical X-ray powder pattern
Compound: NbV3O8
Radiation: copper Kα
Structure: a DFT-relaxed cell (GGA+U, the Materials Project)
Peak positions follow from Bragg's law for the DFT cell and can differ from measured ones.

Peak list (10 most intense, 2θ = 15–90°, in order of rising 2θ)
| index | Position (°2θ) | Rel. int. |
| --- | --- | --- |
| 1 1 0 | 24.40 | 100 |
| 2 0 -2 | 27.65 | 27 |
| 0 0 2 | 27.79 | 61 |
| 4 0 -1 | 29.17 | 70 |
| 3 1 0 | 32.38 | 32 |
| 3 1 -1 | 32.71 | 27 |
| 0 0 3 | 42.23 | 28 |
| 6 0 -1 | 43.54 | 34 |
| 0 2 0 | 47.48 | 38 |
| 7 1 -1 | 56.99 | 27 |

Structure:
Unit cell a=12.4792 b=3.8300 c=6.6817 alpha=90.00 beta=106.11 gamma=90.00
Space group Cm (No. 8)
Unique sites:
1 Nb 0.0000 0.0000 0.0000 [2 per cell]
2 V 0.0951 0.0000 0.5874 [2 per cell]
3 V 0.2967 0.0000 0.9559 [2 per cell]
4 V 0.3903 0.0000 0.5384 [2 per cell]
5 O 0.0605 0.5000 0.5736 [2 per cell]
6 O 0.0620 0.0000 0.2790 [2 per cell]
7 O 0.1316 0.0000 0.8963 [2 per cell]
8 O 0.2541 0.0000 0.6427 [2 per cell]
9 O 0.3336 0.5000 0.9743 [2 per cell]
10 O 0.3357 0.0000 0.2783 [2 per cell]
11 O 0.4320 0.5000 0.6158 [2 per cell]
12 O 0.4633 0.0000 0.9258 [2 per cell]


2.
Theoretical X-ray powder pattern
Compound: NdTlW2O8
Radiation: copper Kα
Structure: a DFT-relaxed cell (GGA+U, the Materials Project)
Peak positions follow from Bragg's law for the DFT cell and can differ from measured ones.

Peak list (10 most intense, 2θ = 15–90°, in order of rising 2θ)
| index | Position (°2θ) | Rel. int. |
| --- | --- | --- |
| 1 1 1 | 20.42 | 27 |
| 1 3 0 | 21.86 | 20 |
| 1 3 1 | 24.36 | 37 |
| 1 1 2 | 27.66 | 100 |
| 0 4 2 | 28.48 | 68 |
| 1 5 0 | 28.88 | 75 |
| 2 0 0 | 33.86 | 26 |
| 2 4 2 | 44.82 | 53 |
| 1 9 2 | 51.43 | 34 |
| 1 5 4 | 53.04 | 25 |

Structure:
Unit cell a=5.2942 b=19.0411 c=8.3266 alpha=90.00 beta=90.00 gamma=90.00
Space group Pbcn (No. 60)
Unique sites:
1 Nd 0.0000 0.0069 0.2500 [4 per cell]
2 Tl 0.0000 0.2305 0.7500 [4 per cell]
3 W 0.0213 0.3993 0.0175 [8 per cell]
4 O 0.1020 0.3122 0.4754 [8 per cell]
5 O 0.2245 0.4011 0.8417 [8 per cell]
6 O 0.2387 0.4079 0.1891 [8 per cell]
7 O 0.2442 0.4644 0.5033 [8 per cell]


3.
Theoretical X-ray powder pattern
Compound: BaSmCo2O6
Radiation: copper Kα
Structure: a DFT-relaxed cell (GGA+U, the Materials Project)
Peak positions follow from Bragg's law for the DFT cell and can differ from measured ones.

Peak list (10 most intense, 2θ = 15–90°, in order of rising 2θ)
| index | Position (°2θ) | Rel. int. |
| --- | --- | --- |
| 1 0 0 | 23.10 | 12 |
| 1 0 2 | 32.40 | 100 |
| 1 1 0 | 32.90 | 48 |
| 1 1 2 | 40.17 | 25 |
| 0 0 4 | 45.74 | 16 |
| 2 0 0 | 47.22 | 31 |
| 1 1 4 | 57.49 | 21 |
| 2 1 2 | 58.43 | 37 |
| 2 0 4 | 67.84 | 18 |
| 2 2 0 | 68.99 | 9 |

Structure:
Unit cell a=3.8500 b=3.8500 c=7.9343 alpha=90.00 beta=90.00 gamma=90.00
Space group P4/mmm (No. 123)
Unique sites:
1 Ba 0.0000 0.0000 0.0000 [1 per cell]
2 Sm 0.0000 0.0000 0.5000 [1 per cell]
3 Co 0.5000 0.5000 0.2532 [2 per cell]
4 O 0.0000 0.5000 0.2813 [4 per cell]
5 O 0.5000 0.5000 0.0000 [1 per cell]
6 O 0.5000 0.5000 0.5000 [1 per cell]


4.
Theoretical X-ray powder pattern
Compound: MgV4O8
Radiation: copper Kα
Structure: a DFT-relaxed cell (GGA+U, the Materials Project)
Peak positions follow from Bragg's law for the DFT cell and can differ from measured ones.

Peak list (10 most intense, 2θ = 15–90°, in order of rising 2θ)
| index | Position (°2θ) | Rel. int. |
| --- | --- | --- |
| 1 1 1 | 25.64 | 100 |
| -1 1 1 | 26.30 | 92 |
| 1 1 -1 | 35.42 | 28 |
| 0 0 2 | 35.60 | 34 |
| 0 2 0 | 35.74 | 31 |
| 2 2 0 | 51.70 | 27 |
| 2 0 -2 | 52.28 | 52 |
| 2 2 2 | 52.69 | 30 |
| 2 -2 0 | 53.05 | 37 |
| 0 4 2 | 66.15 | 26 |

Structure:
Unit cell a=4.8624 b=5.6600 c=5.6804 alpha=62.62 beta=89.17 gamma=88.39
Space group P1 (No. 1)
Unique sites:
1 Mg 0.0000 0.0000 0.0000 [1 per cell]
2 V 0.0013 0.0016 0.4993 [1 per cell]
3 V 0.0008 0.5016 0.9967 [1 per cell]
4 V 0.4999 0.0023 0.9985 [1 per cell]
5 V 0.5010 0.5012 0.4971 [1 per cell]
6 O 0.2000 0.6778 0.6405 [1 per cell]
7 O 0.2326 0.1549 0.1653 [1 per cell]
8 O 0.2721 0.1515 0.6807 [1 per cell]
9 O 0.2775 0.6789 0.1444 [1 per cell]
10 O 0.7242 0.3240 0.8499 [1 per cell]
11 O 0.7277 0.8512 0.3155 [1 per cell]
12 O 0.7691 0.8486 0.8303 [1 per cell]
13 O 0.8017 0.3255 0.3527 [1 per cell]


5.
Theoretical X-ray powder pattern
Compound: LiMnF4
Radiation: copper Kα
Structure: a DFT-relaxed cell (GGA+U, the Materials Project)
Peak positions follow from Bragg's law for the DFT cell and can differ from measured ones.

Peak list (10 most intense, 2θ = 15–90°, in order of rising 2θ)
| index | Position (°2θ) | Rel. int. |
| --- | --- | --- |
| 0 2 0 | 15.32 | 48 |
| 1 1 0 | 20.93 | 100 |
| 0 2 1 | 22.64 | 52 |
| 1 1 1 | 26.81 | 37 |
| 1 3 1 | 34.77 | 47 |
| 1 0 2 | 39.03 | 34 |
| 1 1 2 | 39.83 | 26 |
| 1 4 1 | 40.61 | 41 |
| 2 4 1 | 53.99 | 45 |
| 0 4 3 | 61.05 | 23 |

Structure:
Unit cell a=4.5637 b=11.5646 c=5.3500 alpha=90.00 beta=90.00 gamma=90.00
Space group Pbcn (No. 60)
Unique sites:
1 Li 0.0000 0.1744 0.2500 [4 per cell]
2 Mn 0.0000 0.4283 0.2500 [4 per cell]
3 F 0.2249 0.3138 0.0984 [8 per cell]
4 F 0.2357 0.4518 0.6009 [8 per cell]


6.
Theoretical X-ray powder pattern
Compound: MgMn4O8
Radiation: copper Kα
Structure: a DFT-relaxed cell (GGA+U, the Materials Project)
Peak positions follow from Bragg's law for the DFT cell and can differ from measured ones.

Peak list (10 most intense, 2θ = 15–90°, in order of rising 2θ)
| index | Position (°2θ) | Rel. int. |
| --- | --- | --- |
| 1 1 1 | 16.77 | 100 |
| 1 1 3 | 25.67 | 17 |
| 0 0 4 | 27.41 | 7 |
| 1 3 1 | 35.32 | 6 |
| 3 1 1 | 35.42 | 7 |
| 3 1 3 | 40.60 | 12 |
| 0 0 6 | 41.64 | 9 |
| 2 2 4 | 41.79 | 9 |
| 0 4 0 | 44.20 | 8 |
| 4 0 0 | 44.37 | 8 |

Structure:
Unit cell a=8.1672 b=8.1964 c=13.0135 alpha=90.00 beta=90.00 gamma=90.00
Space group F222 (No. 22)
Unique sites:
1 Mg 0.0000 0.0000 0.0000 [4 per cell]
2 Mn 0.1219 0.1222 0.1731 [16 per cell]
3 O 0.1028 0.1019 0.8729 [16 per cell]
4 O 0.1385 0.1391 0.3251 [16 per cell]


7.
Theoretical X-ray powder pattern
Compound: CrP3O9
Radiation: copper Kα
Structure: a DFT-relaxed cell (GGA+U, the Materials Project)
Peak positions follow from Bragg's law for the DFT cell and can differ from measured ones.

Peak list (10 most intense, 2θ = 15–90°, in order of rising 2θ)
| index | Position (°2θ) | Rel. int. |
| --- | --- | --- |
| 0 0 2 | 20.71 | 22 |
| 1 0 2 | 23.25 | 100 |
| 1 2 0 | 23.30 | 73 |
| 2 1 0 | 23.50 | 24 |
| 1 2 1 | 25.52 | 37 |
| 2 1 1 | 25.72 | 35 |
| 2 2 1 | 31.54 | 19 |
| 0 1 3 | 33.01 | 29 |
| 1 3 0 | 33.13 | 38 |
| 3 0 1 | 33.53 | 29 |

Structure:
Unit cell a=8.4386 b=8.5624 c=8.5846 alpha=90.00 beta=90.00 gamma=90.00
Space group P2_12_12_1 (No. 19)
Unique sites:
1 Cr 0.1315 0.1443 0.3471 [4 per cell]
2 P 0.0332 0.6777 0.8145 [4 per cell]
3 P 0.1816 0.5158 0.3096 [4 per cell]
4 P 0.2058 0.1898 0.9466 [4 per cell]
5 O 0.0456 0.2212 0.8490 [4 per cell]
6 O 0.0951 0.1260 0.5765 [4 per cell]
7 O 0.0971 0.3758 0.3739 [4 per cell]
8 O 0.1043 0.6013 0.1764 [4 per cell]
9 O 0.1373 0.8107 0.8653 [4 per cell]
10 O 0.1407 0.5310 0.7591 [4 per cell]
11 O 0.1570 0.1544 0.1100 [4 per cell]
12 O 0.1853 0.9162 0.3577 [4 per cell]
13 O 0.2169 0.6372 0.4487 [4 per cell]


8.
Theoretical X-ray powder pattern
Compound: NaMgMnO2
Radiation: copper Kα
Structure: a DFT-relaxed cell (GGA+U, the Materials Project)
Peak positions follow from Bragg's law for the DFT cell and can differ from measured ones.

Peak list (10 most intense, 2θ = 15–90°, in order of rising 2θ)
| index | Position (°2θ) | Rel. int. |
| --- | --- | --- |
| 0 0 6 | 21.66 | 61 |
| 1 0 1 | 32.37 | 41 |
| 0 0 9 | 32.75 | 21 |
| 0 1 2 | 32.99 | 34 |
| 1 0 4 | 35.39 | 38 |
| 0 1 5 | 37.10 | 26 |
| 1 0 7 | 41.37 | 100 |
| 0 1 11 | 52.47 | 19 |
| 1 1 0 | 57.33 | 42 |
| 1 1 9 | 67.61 | 15 |

Structure:
Unit cell a=3.2143 b=3.2143 c=24.6128 alpha=90.00 beta=90.00 gamma=120.00
Space group R3m (No. 160, hexagonal axes)
Unique sites:
1 Na 0.0000 0.0000 0.0000 [3 per cell]
2 Mg 0.0000 0.0000 0.5672 [3 per cell]
3 Mn 0.0000 0.0000 0.4371 [3 per cell]
4 O 0.0000 0.0000 0.2636 [3 per cell]
5 O 0.0000 0.0000 0.7310 [3 per cell]


9.
Theoretical X-ray powder pattern
Compound: Ag6Mo10O33
Radiation: copper Kα
Structure: a DFT-relaxed cell (GGA+U, the Materials Project)
Peak positions follow from Bragg's law for the DFT cell and can differ from measured ones.

Peak list (10 most intense, 2θ = 15–90°, in order of rising 2θ)
| index | Position (°2θ) | Rel. int. |
| --- | --- | --- |
| 0 2 2 | 26.22 | 100 |
| 2 1 -1 | 27.26 | 98 |
| 0 2 -2 | 28.22 | 94 |
| 2 -1 1 | 29.58 | 60 |
| 2 1 3 | 30.04 | 60 |
| 0 0 4 | 32.08 | 46 |
| 2 3 1 | 35.32 | 42 |
| 0 4 0 | 44.84 | 17 |
| 2 3 -3 | 47.88 | 27 |
| 2 5 -1 | 58.11 | 14 |

Structure:
Unit cell a=7.6674 b=8.4417 c=11.4702 alpha=82.43 beta=77.37 gamma=73.87
Space group P-1 (No. 2)
Unique sites:
1 Ag 0.0552 0.0237 0.2378 [2 per cell]
2 Ag 0.1535 0.4946 0.7518 [2 per cell]
3 Ag 0.3382 0.0220 0.7889 [2 per cell]
4 Mo 0.0688 0.2744 0.5112 [2 per cell]
5 Mo 0.2033 0.7032 0.0151 [2 per cell]
6 Mo 0.3165 0.4997 0.3182 [2 per cell]
7 Mo 0.3560 0.3021 0.0304 [2 per cell]
8 Mo 0.4283 0.7309 0.4900 [2 per cell]
9 O 0.0096 0.8479 0.0847 [2 per cell]
10 O 0.0539 0.4874 0.3793 [2 per cell]
11 O 0.0978 0.1652 0.6509 [2 per cell]
12 O 0.1100 0.1249 0.4113 [2 per cell]
13 O 0.1511 0.4945 0.0794 [2 per cell]
14 O 0.1630 0.7039 0.8695 [2 per cell]
15 O 0.2042 0.6740 0.4658 [2 per cell]
16 O 0.2544 0.1492 0.1117 [2 per cell]
17 O 0.2808 0.6713 0.2125 [2 per cell]
18 O 0.3151 0.3243 0.4818 [2 per cell]
19 O 0.3155 0.8466 0.6119 [2 per cell]
20 O 0.3275 0.2970 0.8825 [2 per cell]
21 O 0.3872 0.8297 0.9758 [2 per cell]
22 O 0.4024 0.3324 0.2271 [2 per cell]
23 O 0.4625 0.8728 0.3677 [2 per cell]
24 O 0.4688 0.4921 0.6214 [2 per cell]
25 O 0.5000 0.5000 0.0000 [1 per cell]